This entry pairs a crystal structure of CaTiF6 with its calculated powder diffraction line list. Radiation: Cu Kα X-rays. Structure: a crystal structure in the Materials Project, relaxed with GGA-PBE.

Cell and atoms:
a = 5.6209 Å, b = 5.6209 Å, c = 14.4100 Å
α = 90.00°, β = 90.00°, γ = 120.00°
Space group R-3 (No. 148, hexagonal axes)
Unique sites:
Ca 0.0000 0.0000 0.0000
Ti 0.0000 0.0000 0.5000
F 0.0329 0.4244 0.2427

Top 10 peaks for 10° ≤ 2θ ≤ 80°, sorted by position:
2theta  I (rel.)  index
22.04  1000  0 1 2
30.88  123  1 0 4
37.06  199  1 1 3
44.95  216  0 2 4
49.95  274  2 -1 6
51.25  116  3 -2 2
56.13  67  3 -1 4
56.73  74  3 0 0
64.34  62  2 0 8
71.03  70  4 -1 2